No. 1
Simulated PXRD pattern of Pm4HoMg for Cu Kα (λ = 1.5418 Å), from the GGA-PBE geometry in Alexandria.
Neutral-atom scattering factors, no anomalous dispersion.

abc: 3.648 3.648 14.457
angles: 90.00 90.00 90.00
Space group P4/mmm (No. 123)
Unique sites:
Pm: 0.000 0.000 0.152 x2
Pm: 0.500 0.500 0.327 x2
Ho: 0.000 0.000 0.500 x1
Mg: 0.500 0.500 0.000 x1

Most intense lines, 2θ = 5–70°, in order of rising 2θ:
2θ 6.11, I 158; 2θ 27.38, I 98; 2θ 30.74, I 1000; 2θ 34.78, I 373; 2θ 37.32, I 134; 2θ 47.22, I 52; 2θ 50.00, I 133; 2θ 51.93, I 207; 2θ 56.85, I 62; 2θ 59.85, I 300; 2θ 63.26, I 95; 2θ 64.02, I 110

---

No. 2
Simulated PXRD pattern of Pm6Ho2Mg for Cu Kα (λ = 1.5418 Å), from the GGA-PBE geometry in Alexandria.
Neutral-atom scattering factors, no anomalous dispersion.

abc: 10.701 10.701 5.113
angles: 90.00 90.00 90.00
Space group P4_2/mnm (No. 136)
Unique sites:
Pm: 0.002 0.332 0.000 x8
Pm: 0.162 0.838 0.500 x4
Ho: 0.169 0.169 0.500 x4
Mg: 0.000 0.000 0.000 x2

Most intense lines, 2θ = 5–70°, in order of rising 2θ:
2θ 11.69, I 35; 2θ 16.57, I 25; 2θ 19.24, I 38; 2θ 25.49, I 28; 2θ 30.56, I 1000; 2θ 35.10, I 173; 2θ 35.59, I 332; 2θ 50.85, I 241; 2θ 51.22, I 117; 2θ 60.17, I 146; 2θ 60.83, I 280; 2θ 63.61, I 124